# ErAl10Re2
Theoretical powder diffractogram, Cu Kα, 1.54184 Å. Input: a GGA-PBE-relaxed structure.
Neutral-atom scattering factors, no anomalous dispersion.

Main lines, in order of rising 2θ (2θ = 10–90°):
- d = 5.170 Å, 2θ = 17.15°, I = 65
- d = 4.588 Å, 2θ = 19.35°, I = 39
- d = 3.432 Å, 2θ = 25.96°, I = 71
- d = 3.244 Å, 2θ = 27.49°, I = 68
- d = 2.748 Å, 2θ = 32.58°, I = 45
- d = 2.294 Å, 2θ = 39.27°, I = 66
- d = 2.252 Å, 2θ = 40.03°, I = 100
- d = 1.607 Å, 2θ = 57.33°, I = 51

Structure:
```
ErAl10Re2
1.0
4.5898 -5.1704 0.0000
4.5898 5.1704 0.0000
0.0000 0.0000 9.1736
Er Al Re
2 20 4
Direct
0.1305 0.8695 0.7500
0.8695 0.1305 0.2500
0.1428 0.4096 0.7500
0.1490 0.8510 0.0960
0.1490 0.8510 0.4040
0.2101 0.4702 0.2500
0.2257 0.2257 0.0000
0.2257 0.2257 0.5000
0.3754 0.6246 0.5360
0.3754 0.6246 0.9640
0.4096 0.1428 0.2500
0.4702 0.2101 0.7500
0.5298 0.7899 0.2500
0.5904 0.8572 0.7500
0.6246 0.3754 0.0360
0.6246 0.3754 0.4640
0.7743 0.7743 0.0000
0.7743 0.7743 0.5000
0.7899 0.5298 0.7500
0.8510 0.1490 0.5960
0.8510 0.1490 0.9040
0.8572 0.5904 0.2500
0.0000 0.5000 0.0000
0.0000 0.5000 0.5000
0.5000 0.0000 0.0000
0.5000 0.0000 0.5000
```